1.
This entry pairs a crystal structure of AcCuSb2O8 with its computed X-ray powder pattern. Radiation: Cu Ka. Structure: a cell relaxed with GGA-PBE.
Lines closer than 0.1° are merged.

Top 12 peaks for 10 to 90 degrees two-theta, by intensity:
| Position (°2θ) | d_spacing | I (rel.) | h k l |
| --- | --- | --- | --- |
| 33.0 | 2.714 | 100 | 1 2 0 |
| 22.7 | 3.913 | 91 | 1 0 -1 |
| 26.0 | 3.424 | 60 | 1 0 1 |
| 46.9 | 1.938 | 54 | 2 2 -1 |
| 50.5 | 1.807 | 40 | 2 2 1 |
| 22.2 | 4.011 | 33 | 1 1 0 |
| 34.7 | 2.582 | 19 | 0 0 2 |
| 34.9 | 2.572 | 18 | 2 0 0 |
| 61.2 | 1.515 | 14 | 0 2 3 |
| 61.4 | 1.511 | 14 | 3 2 0 |
| 46.4 | 1.957 | 13 | 2 0 -2 |
| 69.2 | 1.357 | 11 | 0 4 2 |

Cell and atoms:
```
12
Lattice="5.1893 0.0000 0.0000 0.0000 6.3866 0.0000 -0.6912 0.0000 5.1643" Properties=species:S:1:pos:R:3 pbc="T T T"
Ac 0.0000 0.0000 0.0000
Cu 0.0000 3.1933 0.0000
Sb 2.2491 1.7019 2.5821
Sb 2.2491 4.6847 2.5821
O 0.9540 1.8478 1.0394
O 0.9540 4.5388 1.0394
O 1.2021 3.1933 3.4599
O 1.2891 0.0000 3.3893
O 3.2090 0.0000 1.7750
O 3.2960 3.1933 1.7044
O 3.5441 1.8478 4.1249
O 3.5441 4.5388 4.1249
```

2.
This entry pairs a crystal structure of CaMg6AlO8 with its computed X-ray powder pattern. Radiation: Cu Ka. Structure: a cell relaxed with GGA-PBE.
Lines closer than 0.1° are merged.

Top 12 peaks for 10 to 90 degrees two-theta, by intensity:
| Position (°2θ) | d_spacing | I (rel.) | h k l |
| --- | --- | --- | --- |
| 41.0 | 2.203 | 100 | 2 0 0 |
| 59.7 | 1.548 | 54 | 2 0 4 |
| 41.5 | 2.176 | 47 | 0 0 4 |
| 59.3 | 1.558 | 29 | 2 2 0 |
| 75.0 | 1.267 | 25 | 2 2 4 |
| 35.4 | 2.533 | 20 | 1 1 2 |
| 71.0 | 1.327 | 9 | 3 1 2 |
| 88.8 | 1.101 | 8 | 4 0 0 |
| 71.8 | 1.315 | 4 | 1 1 6 |
| 30.8 | 2.901 | 2 | 0 0 3 |
| 30.5 | 2.933 | 2 | 1 1 1 |
| 10.2 | 8.704 | 2 | 0 0 1 |

Cell and atoms:
```
16
Lattice="4.4056 0.0000 0.0000 0.0000 4.4056 0.0000 0.0000 0.0000 8.7035" Properties=species:S:1:pos:R:3 pbc="T T T"
Ca 0.0000 0.0000 0.0000
Mg 0.0000 0.0000 4.3518
Mg 0.0000 2.2028 2.2498
Mg 0.0000 2.2028 6.4538
Mg 2.2028 0.0000 2.2498
Mg 2.2028 0.0000 6.4538
Mg 2.2028 2.2028 4.3518
Al 2.2028 2.2028 0.0000
O 0.0000 0.0000 2.3056
O 0.0000 0.0000 6.3980
O 0.0000 2.2028 0.0000
O 0.0000 2.2028 4.3518
O 2.2028 0.0000 0.0000
O 2.2028 0.0000 4.3518
O 2.2028 2.2028 2.1661
O 2.2028 2.2028 6.5375
```

3.
This entry pairs a crystal structure of Li6TlIn3 with its computed X-ray powder pattern. Radiation: Cu Ka. Structure: a cell relaxed with GGA-PBE.
Lines closer than 0.1° are merged.

Top 12 peaks for 10 to 90 degrees two-theta, by intensity:
| Position (°2θ) | d_spacing | I (rel.) | h k l |
| --- | --- | --- | --- |
| 37.5 | 2.397 | 100 | 1 1 3 |
| 26.7 | 3.335 | 100 | 1 1 -2 |
| 25.8 | 3.447 | 54 | 2 0 1 |
| 38.3 | 2.352 | 23 | 0 2 0 |
| 38.1 | 2.365 | 23 | 2 0 -4 |
| 46.6 | 1.950 | 22 | 0 0 5 |
| 46.8 | 1.943 | 22 | 2 2 1 |
| 60.5 | 1.531 | 20 | 3 1 4 |
| 12.3 | 7.173 | 19 | 1 0 -1 |
| 61.8 | 1.501 | 18 | 0 2 5 |
| 55.1 | 1.667 | 17 | 2 2 -4 |
| 68.7 | 1.366 | 17 | 1 3 3 |

Cell and atoms:
```
20
Lattice="8.3673 0.0000 0.0000 0.0000 4.7039 0.0000 -2.5173 0.0000 9.7402" Properties=species:S:1:pos:R:3 pbc="T T T"
Li -0.5748 1.1760 3.8558
Li 0.7264 3.5279 1.9915
Li -0.3886 1.1760 9.6579
Li 0.8540 3.5279 7.8137
Li 2.1924 1.1760 2.9548
Li 2.2495 1.1760 5.8509
Li 3.6006 3.5279 3.8892
Li 3.6576 3.5279 6.7854
Li 4.9960 1.1760 1.9265
Li 6.2386 3.5279 0.0823
Li 5.1237 1.1760 7.7486
Li 6.4249 3.5279 5.8844
Tl 3.4404 3.5279 1.0178
Tl 2.4097 1.1760 8.7224
In -1.9244 3.5279 8.7843
In -0.5214 1.1760 6.7075
In 0.8726 3.5279 4.8668
In 4.9774 1.1760 4.8734
In 6.3714 3.5279 3.0327
In 7.7745 1.1760 0.9558
```